No. 1
This entry pairs a crystal structure of Np2InPtRh5 with its theoretical powder XRD pattern. Radiation: Cu Kα (λ = 1.5418 Å). Structure: DFT lattice parameters and positions (GGA-PBE).
Kinematic intensities with the Lorentz-polarization factor, no thermal factor.

Cell and atoms:
a b c (Å): 8.1365 8.1365 8.1365
angles (deg): 128.81 128.81 75.32
Atoms (fractional coordinates):
Np1 0.1188 0.6188 0.7376
Np2 0.3812 0.1188 0.5000
Np3 0.6188 0.8812 0.5000
Np4 0.8812 0.3812 0.2624
In1 0.2500 0.2500 0.0000
In2 0.7500 0.7500 0.0000
Pt1 0.2500 0.7500 0.5000
Pt2 0.7500 0.2500 0.5000
Rh1 0.0000 0.0000 0.0000
Rh2 0.0866 0.1255 0.5000
Rh3 0.1255 0.6255 0.0389
Rh4 0.3745 0.4134 0.5000
Rh5 0.4134 0.9134 0.0389
Rh6 0.5000 0.5000 0.0000
Rh7 0.5866 0.0866 0.9611
Rh8 0.6255 0.5866 0.5000
Rh9 0.8745 0.3745 0.9611
Rh10 0.9134 0.8745 0.5000

Top 10 peaks for 10° ≤ 2θ ≤ 90°, sorted by position:
17.84°, rel. 23.1
27.70°, rel. 21.1
29.24°, rel. 36.9
35.38°, rel. 59.7
36.14°, rel. 57.0
37.89°, rel. 100.0
43.04°, rel. 31.8
47.14°, rel. 29.2
54.09°, rel. 30.7
66.15°, rel. 28.1

No. 2
This entry pairs a crystal structure of Te7O6F30 with its theoretical powder XRD pattern. Radiation: Cu Kα (λ = 1.5418 Å). Structure: DFT lattice parameters and positions (GGA-PBE).
Kinematic intensities with the Lorentz-polarization factor, no thermal factor.

Cell and atoms:
a b c (Å): 9.1268 9.3415 9.3759
angles (deg): 115.49 100.29 99.97
Atoms (fractional coordinates):
Te1 0.0000 0.0000 0.0000
Te2 0.2238 0.7593 0.7603
Te3 0.2432 0.0753 0.3903
Te4 0.2476 0.3923 0.0841
Te5 0.7524 0.6077 0.9159
Te6 0.7568 0.9247 0.6097
Te7 0.7762 0.2407 0.2397
O1 0.0583 0.2192 0.0167
O2 0.1142 0.9255 0.8370
O3 0.1889 0.0543 0.1712
O4 0.8111 0.9457 0.8288
O5 0.8858 0.0745 0.1630
O6 0.9417 0.7808 0.9833
F1 0.0435 0.5866 0.6849
F2 0.0575 0.9236 0.3495
F3 0.1302 0.5426 0.1387
F4 0.1541 0.2487 0.4741
F5 0.1773 0.7589 0.5581
F6 0.2048 0.3664 0.8707
F7 0.2728 0.7563 0.9612
F8 0.2956 0.4262 0.3006
F9 0.3073 0.1006 0.6021
F10 0.3313 0.6035 0.6784
F11 0.3357 0.9039 0.3151
F12 0.3685 0.2448 0.0302
F13 0.4066 0.9271 0.8313
F14 0.4232 0.5656 0.1468
F15 0.4302 0.2257 0.4337
F16 0.5698 0.7743 0.5663
F17 0.5768 0.4344 0.8532
F18 0.5934 0.0729 0.1687
F19 0.6315 0.7552 0.9698
F20 0.6643 0.0961 0.6849
F21 0.6687 0.3965 0.3216
F22 0.6927 0.8994 0.3979
F23 0.7044 0.5738 0.6994
F24 0.7272 0.2437 0.0388
F25 0.7952 0.6336 0.1293
F26 0.8227 0.2411 0.4419
F27 0.8459 0.7513 0.5259
F28 0.8698 0.4574 0.8613
F29 0.9425 0.0764 0.6505
F30 0.9565 0.4134 0.3151

Top 10 peaks for 10° ≤ 2θ ≤ 90°, sorted by position:
10.27°, rel. 15.1
10.92°, rel. 20.6
18.82°, rel. 47.9
20.35°, rel. 76.7
20.62°, rel. 36.9
22.92°, rel. 50.9
23.32°, rel. 100.0
31.86°, rel. 15.4
39.07°, rel. 15.0
39.54°, rel. 16.0

No. 3
This entry pairs a crystal structure of ZnGa6Sn with its theoretical powder XRD pattern. Radiation: Cu Kα (λ = 1.5418 Å). Structure: DFT lattice parameters and positions (GGA-PBE).
Kinematic intensities with the Lorentz-polarization factor, no thermal factor.

Cell and atoms:
a b c (Å): 4.3389 6.2322 6.5686
angles (deg): 65.96 82.58 82.60
Atoms (fractional coordinates):
Zn1 0.0000 0.0000 0.0000
Ga1 0.2472 0.6400 0.8748
Ga2 0.2584 0.0937 0.3634
Ga3 0.4902 0.2434 0.8028
Ga4 0.5098 0.7566 0.1972
Ga5 0.7416 0.9063 0.6366
Ga6 0.7528 0.3600 0.1252
Sn1 0.0000 0.5000 0.5000

Top 10 peaks for 10° ≤ 2θ ≤ 90°, sorted by position:
33.11°, rel. 100.0
33.84°, rel. 84.2
35.12°, rel. 81.7
39.55°, rel. 60.5
43.02°, rel. 49.6
46.72°, rel. 35.4
48.18°, rel. 33.4
49.40°, rel. 24.9
54.55°, rel. 20.1
56.59°, rel. 19.3

No. 4
This entry pairs a crystal structure of Ac8La3Ho with its theoretical powder XRD pattern. Radiation: Cu Kα (λ = 1.5418 Å). Structure: DFT lattice parameters and positions (GGA-PBE).
Kinematic intensities with the Lorentz-polarization factor, no thermal factor.

Cell and atoms:
a b c (Å): 9.2462 9.2462 9.2462
angles (deg): 118.88 118.88 91.96
Atoms (fractional coordinates):
Ac1 0.1124 0.1124 0.7402
Ac2 0.2337 0.2337 0.4917
Ac3 0.2580 0.7663 0.0000
Ac4 0.3722 0.3722 0.2598
Ac5 0.6278 0.8876 0.0000
Ac6 0.7420 0.7420 0.5083
Ac7 0.7663 0.2580 0.0000
Ac8 0.8876 0.6278 0.0000
La1 0.2500 0.7500 0.5000
La2 0.5000 0.5000 0.0000
La3 0.7500 0.2500 0.5000
Ho1 0.0000 0.0000 0.0000

Top 10 peaks for 10° ≤ 2θ ≤ 90°, sorted by position:
22.24°, rel. 99.6
23.45°, rel. 67.8
26.82°, rel. 83.3
27.77°, rel. 93.4
29.77°, rel. 50.0
30.27°, rel. 46.2
33.20°, rel. 100.0
38.99°, rel. 60.0
40.88°, rel. 81.1
62.96°, rel. 37.8

No. 5
This entry pairs a crystal structure of Pm4RhAu with its theoretical powder XRD pattern. Radiation: Cu Kα (λ = 1.5418 Å). Structure: DFT lattice parameters and positions (GGA-PBE).
Kinematic intensities with the Lorentz-polarization factor, no thermal factor.

Cell and atoms:
a b c (Å): 8.4201 4.9444 16.0637
angles (deg): 90.00 90.00 90.00
Atoms (fractional coordinates):
Pm1 0.0376 0.2500 0.0762
Pm2 0.0753 0.2500 0.7808
Pm3 0.1303 0.2500 0.3359
Pm4 0.1516 0.2500 0.5682
Pm5 0.3484 0.7500 0.0682
Pm6 0.3697 0.7500 0.8359
Pm7 0.4247 0.7500 0.2808
Pm8 0.4624 0.7500 0.5762
Pm9 0.5376 0.2500 0.4238
Pm10 0.5753 0.2500 0.7192
Pm11 0.6303 0.2500 0.1641
Pm12 0.6516 0.2500 0.9318
Pm13 0.8484 0.7500 0.4318
Pm14 0.8697 0.7500 0.6641
Pm15 0.9247 0.7500 0.2192
Pm16 0.9624 0.7500 0.9238
Rh1 0.1933 0.7500 0.6886
Rh2 0.3067 0.2500 0.1886
Rh3 0.6933 0.7500 0.8114
Rh4 0.8067 0.2500 0.3114
Au1 0.2219 0.7500 0.4379
Au2 0.2781 0.2500 0.9379
Au3 0.7219 0.7500 0.0621
Au4 0.7781 0.2500 0.5621

Top 10 peaks for 10° ≤ 2θ ≤ 90°, sorted by position:
27.83°, rel. 32.8
30.58°, rel. 100.0
32.38°, rel. 34.6
32.56°, rel. 79.4
33.26°, rel. 39.2
36.34°, rel. 57.9
39.16°, rel. 33.6
39.72°, rel. 19.5
49.46°, rel. 21.2
54.48°, rel. 25.8

No. 6
This entry pairs a crystal structure of Ba3Tl8Ag3 with its theoretical powder XRD pattern. Radiation: Cu Kα (λ = 1.5418 Å). Structure: DFT lattice parameters and positions (GGA-PBE).
Kinematic intensities with the Lorentz-polarization factor, no thermal factor.

Cell and atoms:
a b c (Å): 9.5344 9.5344 9.5344
angles (deg): 147.99 109.04 79.97
Atoms (fractional coordinates):
Ba1 0.0000 0.0000 0.0000
Ba2 0.2860 0.2860 0.0000
Ba3 0.7140 0.7140 0.0000
Tl1 0.0083 0.3619 0.6465
Tl2 0.1622 0.8651 0.2971
Tl3 0.2846 0.6381 0.6465
Tl4 0.4319 0.1349 0.2971
Tl5 0.5681 0.8651 0.7029
Tl6 0.7154 0.3619 0.3535
Tl7 0.8378 0.1349 0.7029
Tl8 0.9917 0.6381 0.3535
Ag1 0.3645 0.5000 0.8645
Ag2 0.5000 0.0000 0.5000
Ag3 0.6355 0.5000 0.1355

Top 10 peaks for 10° ≤ 2θ ≤ 90°, sorted by position:
24.37°, rel. 30.2
29.30°, rel. 72.6
29.58°, rel. 100.0
29.76°, rel. 60.6
30.88°, rel. 87.3
34.11°, rel. 88.9
37.23°, rel. 56.5
38.69°, rel. 79.7
45.57°, rel. 43.7
58.07°, rel. 40.0

No. 7
This entry pairs a crystal structure of Er7SnS5 with its theoretical powder XRD pattern. Radiation: Cu Kα (λ = 1.5418 Å). Structure: DFT lattice parameters and positions (GGA-PBE).
Kinematic intensities with the Lorentz-polarization factor, no thermal factor.

Cell and atoms:
a b c (Å): 6.7195 6.7195 23.1618
angles (deg): 90.00 90.00 146.29
Atoms (fractional coordinates):
Er1 0.0147 0.9853 0.7500
Er2 0.1371 0.8629 0.0358
Er3 0.1371 0.8629 0.4642
Er4 0.3241 0.6759 0.6728
Er5 0.3241 0.6759 0.8272
Er6 0.4050 0.5950 0.1125
Er7 0.4050 0.5950 0.3875
Er8 0.5950 0.4050 0.6125
Er9 0.5950 0.4050 0.8875
Er10 0.6759 0.3241 0.1728
Er11 0.6759 0.3241 0.3272
Er12 0.8629 0.1371 0.5358
Er13 0.8629 0.1371 0.9642
Er14 0.9853 0.0147 0.2500
Sn1 0.3036 0.6964 0.2500
Sn2 0.6964 0.3036 0.7500
S1 0.0438 0.9562 0.1389
S2 0.0438 0.9562 0.3611
S3 0.2265 0.7735 0.5701
S4 0.2265 0.7735 0.9299
S5 0.5000 0.5000 0.0000
S6 0.5000 0.5000 0.5000
S7 0.7735 0.2265 0.0701
S8 0.7735 0.2265 0.4299
S9 0.9562 0.0438 0.6389
S10 0.9562 0.0438 0.8611

Top 10 peaks for 10° ≤ 2θ ≤ 90°, sorted by position:
28.47°, rel. 54.3
30.38°, rel. 98.6
30.78°, rel. 32.6
31.98°, rel. 100.0
33.16°, rel. 53.0
33.95°, rel. 21.6
42.69°, rel. 20.7
46.63°, rel. 74.7
56.66°, rel. 35.7
57.45°, rel. 19.9

No. 8
This entry pairs a crystal structure of Ca2PuN with its theoretical powder XRD pattern. Radiation: Cu Kα (λ = 1.5418 Å). Structure: DFT lattice parameters and positions (GGA-PBE).
Kinematic intensities with the Lorentz-polarization factor, no thermal factor.

Cell and atoms:
a b c (Å): 10.2633 10.2633 10.2633
angles (deg): 19.74 19.74 19.74
Atoms (fractional coordinates):
Ca1 0.1244 0.1244 0.1244
Ca2 0.8756 0.8756 0.8756
Pu1 0.0000 0.0000 0.0000
N1 0.5000 0.5000 0.5000

Top 10 peaks for 10° ≤ 2θ ≤ 90°, sorted by position:
17.63°, rel. 88.2
26.58°, rel. 43.6
29.46°, rel. 100.0
29.91°, rel. 75.6
31.66°, rel. 27.7
36.09°, rel. 58.2
37.95°, rel. 71.7
42.14°, rel. 30.6
51.96°, rel. 44.4
59.31°, rel. 28.9

No. 9
This entry pairs a crystal structure of Na2Si2GePd5 with its theoretical powder XRD pattern. Radiation: Cu Kα (λ = 1.5418 Å). Structure: DFT lattice parameters and positions (GGA-PBE).
Kinematic intensities with the Lorentz-polarization factor, no thermal factor.

Cell and atoms:
a b c (Å): 10.7971 10.7971 2.8520
angles (deg): 90.00 90.00 90.00
Atoms (fractional coordinates):
Na1 0.1732 0.3268 0.0000
Na2 0.3268 0.8268 0.0000
Na3 0.6732 0.1732 0.0000
Na4 0.8268 0.6732 0.0000
Si1 0.1322 0.6322 0.0000
Si2 0.3678 0.1322 0.0000
Si3 0.6322 0.8678 0.0000
Si4 0.8678 0.3678 0.0000
Ge1 0.0000 0.0000 0.0000
Ge2 0.5000 0.5000 0.0000
Pd1 0.0000 0.5000 0.5000
Pd2 0.0632 0.8043 0.5000
Pd3 0.1957 0.0632 0.5000
Pd4 0.3043 0.5632 0.5000
Pd5 0.4368 0.3043 0.5000
Pd6 0.5000 0.0000 0.5000
Pd7 0.5632 0.6957 0.5000
Pd8 0.6957 0.4368 0.5000
Pd9 0.8043 0.9368 0.5000
Pd10 0.9368 0.1957 0.5000

Top 10 peaks for 10° ≤ 2θ ≤ 90°, sorted by position:
16.42°, rel. 32.4
18.37°, rel. 29.3
29.84°, rel. 23.6
31.37°, rel. 23.8
34.24°, rel. 59.4
37.24°, rel. 25.0
41.24°, rel. 100.0
43.84°, rel. 35.1
47.11°, rel. 30.2
69.88°, rel. 24.3

No. 10
This entry pairs a crystal structure of TaNbRuRh with its theoretical powder XRD pattern. Radiation: Cu Kα (λ = 1.5418 Å). Structure: DFT lattice parameters and positions (GGA-PBE).
Kinematic intensities with the Lorentz-polarization factor, no thermal factor.

Cell and atoms:
a b c (Å): 4.7287 4.7287 4.7287
angles (deg): 127.67 127.67 77.16
Atoms (fractional coordinates):
Ta1 0.0000 0.0000 0.0000
Nb1 0.5000 0.5000 0.0000
Ru1 0.7500 0.2500 0.5000
Rh1 0.2500 0.7500 0.5000

Top 10 peaks for 10° ≤ 2θ ≤ 90°, sorted by position:
24.51°, rel. 9.5
39.07°, rel. 100.0
43.40°, rel. 37.1
49.30°, rel. 12.8
50.47°, rel. 3.0
63.05°, rel. 12.1
67.75°, rel. 19.4
76.73°, rel. 27.1
83.96°, rel. 10.8
85.38°, rel. 10.4

No. 11
This entry pairs a crystal structure of Pm2PuCd6 with its theoretical powder XRD pattern. Radiation: Cu Kα (λ = 1.5418 Å). Structure: DFT lattice parameters and positions (GGA-PBE).
Kinematic intensities with the Lorentz-polarization factor, no thermal factor.

Cell and atoms:
a b c (Å): 8.8564 8.8564 3.3174
angles (deg): 90.00 90.00 120.00
Atoms (fractional coordinates):
Pm1 0.3333 0.6667 0.0000
Pm2 0.6667 0.3333 0.0000
Pu1 0.0000 0.0000 0.0000
Cd1 0.0000 0.3332 0.5000
Cd2 0.0000 0.6668 0.5000
Cd3 0.3332 0.0000 0.5000
Cd4 0.3332 0.3332 0.5000
Cd5 0.6668 0.0000 0.5000
Cd6 0.6668 0.6668 0.5000

Top 10 peaks for 10° ≤ 2θ ≤ 90°, sorted by position:
33.76°, rel. 100.0
35.10°, rel. 87.7
49.49°, rel. 33.8
55.39°, rel. 8.0
62.12°, rel. 33.9
62.97°, rel. 15.6
67.29°, rel. 25.6
74.18°, rel. 9.6
84.03°, rel. 14.7
88.71°, rel. 12.7

No. 12
This entry pairs a crystal structure of Rb2Hg5Pd with its theoretical powder XRD pattern. Radiation: Cu Kα (λ = 1.5418 Å). Structure: DFT lattice parameters and positions (GGA-PBE).
Kinematic intensities with the Lorentz-polarization factor, no thermal factor.

Cell and atoms:
a b c (Å): 7.6156 7.6156 7.6156
angles (deg): 125.41 125.41 80.85
Atoms (fractional coordinates):
Rb1 0.0000 0.5000 0.5000
Rb2 0.5000 0.0000 0.5000
Hg1 0.3925 0.3925 0.0000
Hg2 0.4997 0.4997 0.5089
Hg3 0.4997 0.9907 0.0000
Hg4 0.9907 0.4997 0.0000
Hg5 0.9907 0.9907 0.4911
Pd1 0.6294 0.6294 0.0000

Top 10 peaks for 10° ≤ 2θ ≤ 90°, sorted by position:
14.81°, rel. 27.3
15.28°, rel. 39.0
29.87°, rel. 100.0
36.38°, rel. 47.2
39.67°, rel. 15.9
40.44°, rel. 35.9
52.40°, rel. 16.7
54.25°, rel. 13.6
61.49°, rel. 26.1
68.21°, rel. 15.6